# 1
Theoretical powder X-ray diffraction pattern of Sc2Se3 for Cu Kα, from a GGA-PBE-relaxed structure.
Peak positions follow from Bragg's law for the DFT cell and can differ from measured ones.

Crystal structure
Unit cell a=6.7718 b=11.5448 c=6.6587 alpha=90.00 beta=109.91 gamma=90.00
Space group C2/c (No. 15)
Symmetry-distinct sites (fractional):
Sc 0.0000 0.0881 0.2500 x4
Sc 0.0000 0.2530 0.7500 x4
Se 0.2399 0.0873 0.0022 x8
Se 0.2500 0.2500 0.5000 x4

Principal peaks in the range 10° ≤ 2θ ≤ 90°, in order of rising 2θ:
| Position (°2θ) | I/Imax |
| --- | --- |
| 15.90 | 13 |
| 28.03 | 15 |
| 28.31 | 31 |
| 28.51 | 15 |
| 32.58 | 51 |
| 32.88 | 100 |
| 46.65 | 35 |
| 47.19 | 35 |
| 47.28 | 35 |
| 56.14 | 10 |
| 58.56 | 17 |
| 68.95 | 11 |

***

# 2
Theoretical powder X-ray diffraction pattern of ScSe for Cu Kα, from a GGA-PBE-relaxed structure.
Peak positions follow from Bragg's law for the DFT cell and can differ from measured ones.

Crystal structure
Unit cell a=5.4798 b=5.4798 c=5.4798 alpha=90.00 beta=90.00 gamma=90.00
Space group Fm-3m (No. 225)
Symmetry-distinct sites (fractional):
Sc 0.0000 0.0000 0.0000 x4
Se 0.0000 0.0000 0.5000 x4

Principal peaks in the range 10° ≤ 2θ ≤ 90°, in order of rising 2θ:
| Position (°2θ) | I/Imax |
| --- | --- |
| 28.21 | 15 |
| 32.68 | 100 |
| 46.90 | 70 |
| 55.63 | 8 |
| 58.33 | 23 |
| 68.49 | 11 |
| 75.65 | 3 |
| 77.98 | 29 |
| 87.14 | 22 |

***

What is the formula in the second record?
ScSe

***

Repeat the first record exactly.
Theoretical powder X-ray diffraction pattern of Sc2Se3 for Cu Kα, from a GGA-PBE-relaxed structure.
Peak positions follow from Bragg's law for the DFT cell and can differ from measured ones.

Crystal structure
Unit cell a=6.7718 b=11.5448 c=6.6587 alpha=90.00 beta=109.91 gamma=90.00
Space group C2/c (No. 15)
Symmetry-distinct sites (fractional):
Sc 0.0000 0.0881 0.2500 x4
Sc 0.0000 0.2530 0.7500 x4
Se 0.2399 0.0873 0.0022 x8
Se 0.2500 0.2500 0.5000 x4

Principal peaks in the range 10° ≤ 2θ ≤ 90°, in order of rising 2θ:
| Position (°2θ) | I/Imax |
| --- | --- |
| 15.90 | 13 |
| 28.03 | 15 |
| 28.31 | 31 |
| 28.51 | 15 |
| 32.58 | 51 |
| 32.88 | 100 |
| 46.65 | 35 |
| 47.19 | 35 |
| 47.28 | 35 |
| 56.14 | 10 |
| 58.56 | 17 |
| 68.95 | 11 |